Starting from a GGA-PBE-relaxed structure, the powder X-ray diffraction pattern of PrHoThMg was computed for Cu Kα (weighted mean of Kα1 and Kα2).
Neutral-atom scattering factors, no anomalous dispersion.

```
PrHoThMg
1.0
3.6196 0.0000 0.0000
0.0000 3.6196 0.0000
0.0000 0.0000 9.3467
Pr Ho Th Mg
1 1 1 1
Direct
0.0000 0.0000 0.0000
0.0000 0.0000 0.4823
0.5000 0.5000 0.7349
0.5000 0.5000 0.2523
```

Principal peaks in the range 15° ≤ 2θ ≤ 90°, by angle:
26.4°, intensity 22.9
31.3°, intensity 100.0
35.1°, intensity 37.3
38.5°, intensity 13.9
50.4°, intensity 13.4
53.1°, intensity 22.3
60.5°, intensity 30.9
65.2°, intensity 23.5
82.6°, intensity 7.9
86.8°, intensity 16.5

---

Starting from a GGA-PBE-relaxed structure, the powder X-ray diffraction pattern of CsCd6In6 was computed for Cu Kα (weighted mean of Kα1 and Kα2).
Neutral-atom scattering factors, no anomalous dispersion.

```
CsCd6In6
1.0
3.1467 -5.3125 0.0000
3.1467 5.3125 0.0000
0.0000 0.0000 10.6052
Cs Cd In
1 6 6
Direct
0.0000 0.0000 0.0000
0.0000 0.5000 0.2404
0.0000 0.5000 0.7596
0.5000 0.0000 0.2404
0.5000 0.0000 0.7596
0.5000 0.5000 0.2672
0.5000 0.5000 0.7328
0.0000 0.0000 0.3563
0.0000 0.0000 0.6437
0.3042 0.6958 0.5000
0.3419 0.6581 0.0000
0.6581 0.3419 0.0000
0.6958 0.3042 0.5000
```

Principal peaks in the range 15° ≤ 2θ ≤ 90°, by angle:
28.4°, intensity 22.6
28.9°, intensity 37.7
30.4°, intensity 35.8
33.1°, intensity 100.0
33.6°, intensity 85.0
33.8°, intensity 77.9
37.3°, intensity 93.2
37.8°, intensity 28.1
37.9°, intensity 49.3
60.0°, intensity 41.4

---

Starting from a GGA-PBE-relaxed structure, the powder X-ray diffraction pattern of LiAl2Cl was computed for Cu Kα (weighted mean of Kα1 and Kα2).
Neutral-atom scattering factors, no anomalous dispersion.

```
LiAl2Cl
1.0
3.1341 0.0000 0.0000
0.0000 3.7548 0.0000
0.0000 0.0000 7.2228
Li Al Cl
1 2 1
Direct
0.0000 0.0000 0.0000
0.0000 0.0000 0.4953
0.5000 0.5000 0.3302
0.5000 0.5000 0.9701
```

Principal peaks in the range 15° ≤ 2θ ≤ 90°, by angle:
24.7°, intensity 67.7
26.8°, intensity 59.5
31.1°, intensity 38.7
37.4°, intensity 100.0
44.7°, intensity 39.8
45.3°, intensity 44.7
47.6°, intensity 32.6
48.5°, intensity 20.7
70.3°, intensity 19.4
76.9°, intensity 20.5

---

Starting from a GGA-PBE-relaxed structure, the powder X-ray diffraction pattern of Nd4Sm2Dy3 was computed for Cu Kα (weighted mean of Kα1 and Kα2).
Neutral-atom scattering factors, no anomalous dispersion.

```
Nd4Sm2Dy3
1.0
8.2416 -5.9069 0.0000
8.2416 5.9069 0.0000
-0.6781 0.0000 6.1983
Nd Sm Dy
8 4 6
Direct
0.0927 0.8121 0.9861
0.1456 0.4271 0.1527
0.1879 0.9073 0.5139
0.4271 0.1456 0.6527
0.5729 0.8544 0.3473
0.8121 0.0927 0.4861
0.8544 0.5729 0.8473
0.9073 0.1879 0.0139
0.2428 0.5205 0.6814
0.4795 0.7572 0.8186
0.5205 0.2428 0.1814
0.7572 0.4795 0.3186
0.0668 0.2677 0.5804
0.2677 0.0668 0.0804
0.4000 0.6000 0.2500
0.6000 0.4000 0.7500
0.7323 0.9332 0.9196
0.9332 0.7323 0.4196
```

Principal peaks in the range 15° ≤ 2θ ≤ 90°, by angle:
29.7°, intensity 62.0
30.3°, intensity 48.4
30.4°, intensity 59.3
31.4°, intensity 100.0
36.8°, intensity 32.8
37.4°, intensity 28.8
49.4°, intensity 14.0
50.7°, intensity 12.6
54.4°, intensity 21.9
55.0°, intensity 21.6